This entry pairs a crystal structure of La2Pr6Y3 with its calculated powder XRD pattern. Radiation: CuKα. Structure: a DFT-relaxed cell (PBE, Alexandria).

Structure:
```
data_La2Pr6Y3
_cell_length_a 6.3058
_cell_length_b 10.9335
_cell_length_c 11.9989
_cell_angle_alpha 90.00
_cell_angle_beta 100.20
_cell_angle_gamma 90.00
_symmetry_space_group_name_H-M 'C 1 2/m 1'
_symmetry_Int_Tables_number 12
loop_
_symmetry_equiv_pos_as_xyz
'x,y,z'
'-x,-y,-z'
'-x,y,-z'
'x,-y,z'
'x+1/2,y+1/2,z'
'-x+1/2,-y+1/2,-z'
'-x+1/2,y+1/2,-z'
'x+1/2,-y+1/2,z'
loop_
_atom_site_label
_atom_site_fract_x
_atom_site_fract_y
_atom_site_fract_z
La1 0.0000 0.1668 0.0000
Pr1 0.2485 0.5000 0.7475
Pr2 0.2497 0.1662 0.7472
Y1 0.0000 0.0000 0.5000
Y2 0.0000 0.3347 0.5000
```

Top 12 peaks for 10° ≤ 2θ ≤ 90°, in order of rising 2θ:
Position (°2θ)  d/Å  Rel. int.
15.0  5.905  8
30.1  2.972  100
30.3  2.952  32
34.9  2.569  67
50.1  1.821  24
50.3  1.812  23
59.5  1.554  9
59.6  1.551  23
59.7  1.549  9
59.9  1.545  14
62.5  1.486  12
81.5  1.181  8